1.
YBe17Cr: theoretical powder X-ray diffraction pattern (Cu Ka), based on a cell relaxed with GGA-PBE.
No peak broadening, texture or thermal motion is included.

Top 10 peaks for 10 to 80 degrees two-theta, by angle:
| d (Å) | 2theta | I (rel.) |
| --- | --- | --- |
| 5.583 | 15.87 | 64 |
| 4.179 | 21.26 | 39 |
| 3.751 | 23.72 | 93 |
| 3.638 | 24.47 | 30 |
| 3.114 | 28.67 | 24 |
| 2.612 | 34.34 | 100 |
| 2.166 | 41.70 | 39 |
| 1.876 | 48.54 | 33 |
| 1.861 | 48.95 | 60 |
| 1.321 | 71.40 | 23 |

Structure:
Cell: 5.6566 5.6566 5.6566 Å, 83.08 83.08 83.08°
Positions (direct):
Y (0.0000, 0.0000, 0.0000)
Be (0.0470, 0.3470, 0.6278)
Be (0.0470, 0.6278, 0.3470)
Be (0.1950, 0.6801, 0.6801)
Be (0.2481, 0.2481, 0.2481)
Be (0.3401, 0.3401, 0.8421)
Be (0.3401, 0.8421, 0.3401)
Be (0.3470, 0.0470, 0.6278)
Be (0.3470, 0.6278, 0.0470)
Be (0.4426, 0.4426, 0.4426)
Be (0.5033, 0.9923, 0.9923)
Be (0.6278, 0.0470, 0.3470)
Be (0.6278, 0.3470, 0.0470)
Be (0.6801, 0.1950, 0.6801)
Be (0.6801, 0.6801, 0.1950)
Be (0.8421, 0.3401, 0.3401)
Be (0.9923, 0.5033, 0.9923)
Be (0.9923, 0.9923, 0.5033)
Cr (0.6710, 0.6710, 0.6710)



2.
YBe2Cr: theoretical powder X-ray diffraction pattern (Cu Ka), based on a cell relaxed with GGA-PBE.
No peak broadening, texture or thermal motion is included.

Top 10 peaks for 10 to 80 degrees two-theta, by angle:
| d (Å) | 2theta | I (rel.) |
| --- | --- | --- |
| 3.081 | 28.98 | 100 |
| 3.062 | 29.16 | 53 |
| 2.752 | 32.53 | 15 |
| 2.178 | 41.45 | 51 |
| 2.172 | 41.58 | 96 |
| 1.775 | 51.48 | 41 |
| 1.540 | 60.06 | 16 |
| 1.377 | 68.10 | 32 |
| 1.371 | 68.42 | 19 |
| 1.256 | 75.70 | 29 |

Structure:
Cell: 3.0807 3.0807 6.1249 Å, 90.00 90.00 90.00°
Positions (direct):
Y (0.0000, 0.0000, 0.0000)
Be (0.5000, 0.5000, 0.3235)
Be (0.5000, 0.5000, 0.6765)
Cr (0.0000, 0.0000, 0.5000)



3.
ZrBe9Cr2: theoretical powder X-ray diffraction pattern (Cu Ka), based on a cell relaxed with GGA-PBE.
No peak broadening, texture or thermal motion is included.

Top 10 peaks for 10 to 80 degrees two-theta, by angle:
| d (Å) | 2theta | I (rel.) |
| --- | --- | --- |
| 3.778 | 23.55 | 54 |
| 3.645 | 24.42 | 100 |
| 3.469 | 25.68 | 45 |
| 2.555 | 35.12 | 34 |
| 2.236 | 40.33 | 91 |
| 2.181 | 41.40 | 70 |
| 1.872 | 48.65 | 27 |
| 1.846 | 49.36 | 74 |
| 1.427 | 65.38 | 25 |
| 1.270 | 74.78 | 26 |

Structure:
Cell: 4.3620 4.3620 13.8751 Å, 90.00 90.00 120.00°
Positions (direct):
Zr (0.3333, 0.6667, 0.2500)
Zr (0.6667, 0.3333, 0.7500)
Be (0.0000, 0.0000, 0.0000)
Be (0.0000, 0.0000, 0.2500)
Be (0.0000, 0.0000, 0.5000)
Be (0.0000, 0.0000, 0.7500)
Be (0.1697, 0.3395, 0.6202)
Be (0.1697, 0.3395, 0.8798)
Be (0.1697, 0.8303, 0.6202)
Be (0.1697, 0.8303, 0.8798)
Be (0.3333, 0.6667, 0.7500)
Be (0.3395, 0.1697, 0.1202)
Be (0.3395, 0.1697, 0.3798)
Be (0.6605, 0.8303, 0.6202)
Be (0.6605, 0.8303, 0.8798)
Be (0.6667, 0.3333, 0.2500)
Be (0.8303, 0.1697, 0.1202)
Be (0.8303, 0.1697, 0.3798)
Be (0.8303, 0.6605, 0.1202)
Be (0.8303, 0.6605, 0.3798)
Cr (0.3333, 0.6667, 0.0320)
Cr (0.3333, 0.6667, 0.4680)
Cr (0.6667, 0.3333, 0.5320)
Cr (0.6667, 0.3333, 0.9680)



4.
CsBeCuTe2: theoretical powder X-ray diffraction pattern (Cu Ka), based on a cell relaxed with GGA-PBE.
No peak broadening, texture or thermal motion is included.

Top 10 peaks for 10 to 80 degrees two-theta, by angle:
| d (Å) | 2theta | I (rel.) |
| --- | --- | --- |
| 3.441 | 25.90 | 13 |
| 3.377 | 26.39 | 100 |
| 3.164 | 28.20 | 31 |
| 2.329 | 38.66 | 10 |
| 1.997 | 45.43 | 13 |
| 1.974 | 45.98 | 12 |
| 1.938 | 46.88 | 7 |
| 1.865 | 48.82 | 21 |
| 1.689 | 54.33 | 16 |
| 1.542 | 59.98 | 9 |

Structure:
Cell: 8.0066 8.0066 6.8813 Å, 90.00 90.00 133.44°
Positions (direct):
Cs (0.2500, 0.7500, 0.7626)
Cs (0.7500, 0.2500, 0.2374)
Be (0.2500, 0.2500, 0.5000)
Be (0.7500, 0.7500, 0.5000)
Cu (0.0000, 0.0000, 0.0000)
Cu (0.5000, 0.5000, 0.0000)
Te (0.0922, 0.9078, 0.2997)
Te (0.4078, 0.5922, 0.2997)
Te (0.5922, 0.4078, 0.7003)
Te (0.9078, 0.0922, 0.7003)